[1]
Diffraction record for LaBeGe3. The powder diffractogram is simulated, not measured: it uses a crystal structure in Alexandria, relaxed with GGA-PBE and copper Kα.
Intensities are scaled so that the largest is 100.

Structural model:
```
10
Lattice="4.1183 0.0000 0.0000 2.0558 5.9414 0.0000 0.0077 0.3185 8.4385" Properties=species:S:1:pos:R:3 pbc="T T T"
La 0.0000 0.0000 0.0000
La 2.0585 2.3838 2.8964
Be 2.0703 1.7583 6.0421
Be 4.1162 4.8682 2.5470
Ge 2.0576 5.8759 3.0093
Ge 2.0502 4.3380 6.0309
Ge 2.0671 2.7296 8.1307
Ge 4.1104 3.7762 4.7092
Ge 4.1185 3.6074 0.6049
Ge 4.1285 1.1110 5.2778
```

Most intense lines, 2θ from 5° to 70°, sorted by position:
(1 0 0), 2θ = 22.86°, 3.891 Å, I = 47
(1 0 -2), 2θ = 31.07°, 2.878 Å, I = 36
(1 -1 0), 2θ = 31.35°, 2.854 Å, I = 100
(1 1 -2), 2θ = 31.47°, 2.843 Å, I = 53
(0 2 1), 2θ = 31.57°, 2.834 Å, I = 33
(0 0 3), 2θ = 31.81°, 2.813 Å, I = 54
(1 2 2), 2θ = 37.57°, 2.394 Å, I = 38
(0 2 -2), 2θ = 37.70°, 2.386 Å, I = 57
(2 1 0), 2θ = 43.98°, 2.059 Å, I = 59
(-1 1 3), 2θ = 44.61°, 2.031 Å, I = 33



[2]
Diffraction record for Cd2Sn2Pb. The powder diffractogram is simulated, not measured: it uses a crystal structure in Alexandria, relaxed with GGA-PBE and copper Kα.
Intensities are scaled so that the largest is 100.

Structural model:
```
10
Lattice="9.2811 0.0000 0.0000 0.0000 5.1793 0.0000 -1.2052 0.0000 5.9417" Properties=species:S:1:pos:R:3 pbc="T T T"
Cd 0.8185 0.0000 1.4051
Cd 2.6168 2.5897 4.5366
Cd 5.4590 2.5897 1.4051
Cd 7.2574 0.0000 4.5366
Sn 1.0145 0.0000 4.6528
Sn 2.4208 2.5897 1.2889
Sn 5.6551 2.5897 4.6528
Sn 7.0613 0.0000 1.2889
Pb -0.6026 2.5897 2.9709
Pb 4.0379 0.0000 2.9709
```

Most intense lines, 2θ from 5° to 70°, sorted by position:
(1 1 1), 2θ = 25.98°, 3.429 Å, I = 72
(2 0 1), 2θ = 26.95°, 3.308 Å, I = 47
(2 0 -2), 2θ = 32.56°, 2.750 Å, I = 31
(3 1 0), 2θ = 34.27°, 2.617 Å, I = 100
(1 1 -2), 2θ = 34.50°, 2.600 Å, I = 92
(0 2 0), 2θ = 34.64°, 2.590 Å, I = 86
(3 1 -1), 2θ = 35.02°, 2.562 Å, I = 96
(1 1 2), 2θ = 37.89°, 2.374 Å, I = 42
(5 1 1), 2θ = 58.71°, 1.573 Å, I = 30
(3 1 3), 2θ = 63.60°, 1.463 Å, I = 28



[3]
Diffraction record for CeSm3Ho2. The powder diffractogram is simulated, not measured: it uses a crystal structure in Alexandria, relaxed with GGA-PBE and copper Kα.
Intensities are scaled so that the largest is 100.

Structural model:
```
12
Lattice="6.9511 0.0000 0.0000 0.0000 16.1168 0.0000 0.0000 0.0000 3.5053" Properties=species:S:1:pos:R:3 pbc="T T T"
Ce 0.0000 0.0000 0.0000
Ce 3.4756 8.0584 1.7527
Sm 0.0000 8.0584 1.7527
Sm 1.7277 2.5288 1.7527
Sm 1.7479 10.5872 0.0000
Sm 3.4756 0.0000 0.0000
Sm 5.2032 5.5296 0.0000
Sm 5.2234 13.5880 1.7527
Ho 1.7197 13.6416 1.7527
Ho 1.7559 5.5832 0.0000
Ho 5.1952 10.5337 0.0000
Ho 5.2315 2.4753 1.7527
```

Most intense lines, 2θ from 5° to 70°, sorted by position:
(2 2 0), 2θ = 27.96°, 3.191 Å, I = 42
(0 3 1), 2θ = 30.45°, 2.936 Å, I = 100
(0 6 0), 2θ = 33.36°, 2.686 Å, I = 36
(2 4 0), 2θ = 34.07°, 2.632 Å, I = 51
(2 1 1), 2θ = 36.84°, 2.440 Å, I = 61
(2 3 1), 2θ = 40.21°, 2.243 Å, I = 12
(2 7 1), 2θ = 54.50°, 1.684 Å, I = 33
(0 9 1), 2θ = 57.82°, 1.595 Å, I = 13
(4 3 1), 2θ = 62.06°, 1.495 Å, I = 26
(4 6 0), 2θ = 63.80°, 1.459 Å, I = 27